Simulated X-ray diffraction stick pattern of CaCoF5 for CuKα, from DFT lattice parameters and positions (PBE+U).
Intensities are scaled so that the largest is 100.

Structural model:
```
data_CaCoF5
_chemical_formula_sum 'Ca4 Co4 F20'
_space_group_name_H-M_alt 'P 1'
_space_group_IT_number 1
_cell_length_a 5.576
_cell_length_b 10.091
_cell_length_c 7.671
_cell_angle_alpha 90.00
_cell_angle_beta 109.96
_cell_angle_gamma 90.00
loop_
_space_group_symop_operation_xyz
'x,y,z'
loop_
_atom_site_label
_atom_site_type_symbol
_atom_site_fract_x
_atom_site_fract_y
_atom_site_fract_z
Ca1 Ca 0.029 0.021 0.256
Ca2 Ca 0.029 0.479 0.756
Ca3 Ca 0.971 0.521 0.244
Ca4 Ca 0.971 0.979 0.744
Co1 Co 0.393 0.246 0.599
Co2 Co 0.393 0.254 0.099
Co3 Co 0.607 0.746 0.901
Co4 Co 0.607 0.754 0.401
F1 F 0.112 0.118 0.556
F2 F 0.112 0.382 0.056
F3 F 0.145 0.114 0.006
F4 F 0.145 0.386 0.506
F5 F 0.329 0.638 0.359
F6 F 0.329 0.862 0.859
F7 F 0.345 0.202 0.337
F8 F 0.345 0.298 0.837
F9 F 0.382 0.608 0.812
F10 F 0.382 0.892 0.312
F11 F 0.618 0.108 0.688
F12 F 0.618 0.392 0.188
F13 F 0.655 0.702 0.163
F14 F 0.655 0.798 0.663
F15 F 0.671 0.138 0.141
F16 F 0.671 0.362 0.641
F17 F 0.855 0.614 0.494
F18 F 0.855 0.886 0.994
F19 F 0.888 0.618 0.944
F20 F 0.888 0.882 0.444
```

Largest 10 diffraction maxima, by intensity, 10° ≤ 2θ ≤ 90°:
d = 3.635 Å, I 100
d = 3.392 Å, I 92
d = 4.651 Å, I 52
d = 2.067 Å, I 40
d = 2.932 Å, I 28
d = 1.918 Å, I 24
d = 1.696 Å, I 21
d = 1.806 Å, I 20
d = 1.804 Å, I 18
d = 1.600 Å, I 11

***

Simulated X-ray diffraction stick pattern of LiMnF4 for CuKα, from DFT lattice parameters and positions (PBE+U).
Intensities are scaled so that the largest is 100.

Structural model:
```
data_LiMnF4
_chemical_formula_sum 'Li8 Mn8 F32'
_space_group_name_H-M_alt 'P 1'
_space_group_IT_number 1
_cell_length_a 10.190
_cell_length_b 10.190
_cell_length_c 10.190
_cell_angle_alpha 94.98
_cell_angle_beta 94.98
_cell_angle_gamma 145.73
loop_
_space_group_symop_operation_xyz
'x,y,z'
loop_
_atom_site_label
_atom_site_type_symbol
_atom_site_fract_x
_atom_site_fract_y
_atom_site_fract_z
Li1 Li 0.132 0.128 0.253
Li2 Li 0.372 0.125 0.004
Li3 Li 0.375 0.879 0.247
Li4 Li 0.379 0.632 0.504
Li5 Li 0.621 0.368 0.496
Li6 Li 0.625 0.121 0.753
Li7 Li 0.628 0.875 0.996
Li8 Li 0.868 0.872 0.747
Mn1 Mn 0.121 0.366 0.001
Mn2 Mn 0.134 0.635 0.755
Mn3 Mn 0.135 0.880 0.501
Mn4 Mn 0.380 0.379 0.745
Mn5 Mn 0.620 0.621 0.255
Mn6 Mn 0.865 0.120 0.499
Mn7 Mn 0.866 0.365 0.245
Mn8 Mn 0.879 0.634 0.999
F1 F 0.010 0.351 0.402
F2 F 0.012 0.864 0.911
F3 F 0.105 0.692 0.345
F4 F 0.108 0.510 0.159
F5 F 0.149 0.051 0.659
F6 F 0.153 0.239 0.845
F7 F 0.192 0.347 0.587
F8 F 0.196 0.862 0.099
F9 F 0.261 0.605 0.913
F10 F 0.263 0.097 0.401
F11 F 0.362 0.763 0.666
F12 F 0.364 0.953 0.852
F13 F 0.399 0.488 0.352
F14 F 0.403 0.304 0.166
F15 F 0.449 0.608 0.098
F16 F 0.453 0.101 0.589
F17 F 0.547 0.899 0.411
F18 F 0.551 0.392 0.902
F19 F 0.597 0.696 0.834
F20 F 0.601 0.512 0.648
F21 F 0.636 0.047 0.148
F22 F 0.638 0.237 0.334
F23 F 0.737 0.903 0.599
F24 F 0.739 0.395 0.087
F25 F 0.804 0.138 0.901
F26 F 0.808 0.653 0.413
F27 F 0.847 0.761 0.155
F28 F 0.851 0.949 0.341
F29 F 0.892 0.490 0.841
F30 F 0.895 0.308 0.655
F31 F 0.988 0.136 0.089
F32 F 0.990 0.649 0.598
```

Largest 10 diffraction maxima, by intensity, 10° ≤ 2θ ≤ 90°:
d = 3.443 Å, I 100
d = 1.763 Å, I 63
d = 4.299 Å, I 61
d = 2.263 Å, I 45
d = 5.504 Å, I 42
d = 1.428 Å, I 33
d = 2.178 Å, I 25
d = 3.223 Å, I 21
d = 2.919 Å, I 21
d = 1.721 Å, I 20

***

Simulated X-ray diffraction stick pattern of Na2MgCo2O4 for CuKα, from DFT lattice parameters and positions (PBE+U).
Intensities are scaled so that the largest is 100.

Structural model:
```
data_Na2MgCo2O4
_chemical_formula_sum 'Na2 Mg1 Co2 O4'
_space_group_name_H-M_alt 'P 1'
_space_group_IT_number 1
_cell_length_a 10.959
_cell_length_b 3.442
_cell_length_c 3.442
_cell_angle_alpha 60.70
_cell_angle_beta 90.00
_cell_angle_gamma 90.00
loop_
_space_group_symop_operation_xyz
'x,y,z'
loop_
_atom_site_label
_atom_site_type_symbol
_atom_site_fract_x
_atom_site_fract_y
_atom_site_fract_z
Na1 Na 0.000 0.000 0.000
Na2 Na 0.500 0.006 0.006
Mg1 Mg 0.500 0.343 0.343
Co1 Co 0.212 0.664 0.664
Co2 Co 0.788 0.664 0.664
O1 O 0.153 0.330 0.330
O2 O 0.393 0.670 0.670
O3 O 0.607 0.670 0.670
O4 O 0.847 0.330 0.330
```

Largest 10 diffraction maxima, by intensity, 10° ≤ 2θ ≤ 90°:
d = 2.632 Å, I 100
d = 3.653 Å, I 51
d = 2.611 Å, I 50
d = 1.721 Å, I 45
d = 3.001 Å, I 42
d = 1.770 Å, I 37
d = 1.739 Å, I 24
d = 2.970 Å, I 20
d = 1.764 Å, I 19
d = 1.556 Å, I 18

***

Simulated X-ray diffraction stick pattern of MgMn6O7F5 for CuKα, from DFT lattice parameters and positions (PBE+U).
Intensities are scaled so that the largest is 100.

Structural model:
```
data_MgMn6O7F5
_chemical_formula_sum 'Mg1 Mn6 O7 F5'
_space_group_name_H-M_alt 'P 1'
_space_group_IT_number 1
_cell_length_a 5.847
_cell_length_b 6.011
_cell_length_c 7.863
_cell_angle_alpha 106.15
_cell_angle_beta 98.24
_cell_angle_gamma 114.34
loop_
_space_group_symop_operation_xyz
'x,y,z'
loop_
_atom_site_label
_atom_site_type_symbol
_atom_site_fract_x
_atom_site_fract_y
_atom_site_fract_z
Mg1 Mg 0.000 0.000 0.000
Mn1 Mn 0.006 0.511 0.008
Mn2 Mn 0.330 0.527 0.358
Mn3 Mn 0.368 0.980 0.808
Mn4 Mn 0.644 0.032 0.204
Mn5 Mn 0.689 0.457 0.636
Mn6 Mn 0.993 0.011 0.502
O1 O 0.037 0.699 0.834
O2 O 0.308 0.310 0.506
O3 O 0.363 0.705 0.183
O4 O 0.666 0.299 0.822
O5 O 0.696 0.696 0.501
O6 O 0.780 0.176 0.462
O7 O 0.969 0.302 0.172
F1 F 0.101 0.165 0.813
F2 F 0.208 0.820 0.524
F3 F 0.395 0.169 0.109
F4 F 0.606 0.847 0.919
F5 F 0.920 0.828 0.185
```

Largest 10 diffraction maxima, by intensity, 10° ≤ 2θ ≤ 90°:
d = 3.949 Å, I 100
d = 3.213 Å, I 75
d = 2.605 Å, I 52
d = 2.579 Å, I 36
d = 1.884 Å, I 32
d = 1.697 Å, I 29
d = 1.915 Å, I 28
d = 1.478 Å, I 25
d = 1.720 Å, I 18
d = 1.974 Å, I 17

***

Please write out number 1 again, unchanged.
Simulated X-ray diffraction stick pattern of CaCoF5 for CuKα, from DFT lattice parameters and positions (PBE+U).
Intensities are scaled so that the largest is 100.

Structural model:
```
data_CaCoF5
_chemical_formula_sum 'Ca4 Co4 F20'
_space_group_name_H-M_alt 'P 1'
_space_group_IT_number 1
_cell_length_a 5.576
_cell_length_b 10.091
_cell_length_c 7.671
_cell_angle_alpha 90.00
_cell_angle_beta 109.96
_cell_angle_gamma 90.00
loop_
_space_group_symop_operation_xyz
'x,y,z'
loop_
_atom_site_label
_atom_site_type_symbol
_atom_site_fract_x
_atom_site_fract_y
_atom_site_fract_z
Ca1 Ca 0.029 0.021 0.256
Ca2 Ca 0.029 0.479 0.756
Ca3 Ca 0.971 0.521 0.244
Ca4 Ca 0.971 0.979 0.744
Co1 Co 0.393 0.246 0.599
Co2 Co 0.393 0.254 0.099
Co3 Co 0.607 0.746 0.901
Co4 Co 0.607 0.754 0.401
F1 F 0.112 0.118 0.556
F2 F 0.112 0.382 0.056
F3 F 0.145 0.114 0.006
F4 F 0.145 0.386 0.506
F5 F 0.329 0.638 0.359
F6 F 0.329 0.862 0.859
F7 F 0.345 0.202 0.337
F8 F 0.345 0.298 0.837
F9 F 0.382 0.608 0.812
F10 F 0.382 0.892 0.312
F11 F 0.618 0.108 0.688
F12 F 0.618 0.392 0.188
F13 F 0.655 0.702 0.163
F14 F 0.655 0.798 0.663
F15 F 0.671 0.138 0.141
F16 F 0.671 0.362 0.641
F17 F 0.855 0.614 0.494
F18 F 0.855 0.886 0.994
F19 F 0.888 0.618 0.944
F20 F 0.888 0.882 0.444
```

Largest 10 diffraction maxima, by intensity, 10° ≤ 2θ ≤ 90°:
d = 3.635 Å, I 100
d = 3.392 Å, I 92
d = 4.651 Å, I 52
d = 2.067 Å, I 40
d = 2.932 Å, I 28
d = 1.918 Å, I 24
d = 1.696 Å, I 21
d = 1.806 Å, I 20
d = 1.804 Å, I 18
d = 1.600 Å, I 11